Record 1
Theoretical X-ray powder pattern
Compound: BaPb2IF5
Radiation: Cu Kα (weighted mean of Kα1 and Kα2)
Structure: the GGA-PBE geometry in the Materials Project
No peak broadening, texture or thermal motion is included.

Cell and atoms:
Unit cell a=6.1302 b=6.1302 c=10.1202 alpha=90.00 beta=90.00 gamma=90.00
Atoms (fractional coordinates):
Ba: 0.2500 0.7500 0.0000
Ba: 0.7500 0.2500 0.0000
Pb: 0.2500 0.2500 0.2644
Pb: 0.2500 0.2500 0.6936
Pb: 0.7500 0.7500 0.3064
Pb: 0.7500 0.7500 0.7356
I: 0.2500 0.7500 0.5000
I: 0.7500 0.2500 0.5000
F: 0.0140 0.0140 0.8198
F: 0.0140 0.4860 0.8198
F: 0.2500 0.2500 0.0354
F: 0.4860 0.0140 0.8198
F: 0.4860 0.4860 0.8198
F: 0.5140 0.5140 0.1802
F: 0.5140 0.9860 0.1802
F: 0.7500 0.7500 0.9646
F: 0.9860 0.5140 0.1802
F: 0.9860 0.9860 0.1802

Largest 10 diffraction maxima, low angle first, 10° ≤ 2θ ≤ 90°:
d/Å	2θ (°)	I (rel.)
3.292	27.09	100
3.065	29.13	43
2.662	33.67	10
2.269	39.73	11
2.167	41.67	26
1.951	46.54	17
1.810	50.41	37
1.646	55.86	9
1.371	68.44	10
1.170	82.46	10

Record 2
Theoretical X-ray powder pattern
Compound: BaInF5
Radiation: Cu Kα (weighted mean of Kα1 and Kα2)
Structure: the GGA-PBE geometry in the Materials Project
No peak broadening, texture or thermal motion is included.

Cell and atoms:
Unit cell a=7.7411 b=7.8802 c=15.9124 alpha=90.00 beta=95.35 gamma=90.00
Atoms (fractional coordinates):
Ba: 0.0006 0.1541 0.1368
Ba: 0.0006 0.3459 0.6368
Ba: 0.3099 0.1524 0.4128
Ba: 0.3099 0.3476 0.9128
Ba: 0.6901 0.6524 0.0872
Ba: 0.6901 0.8476 0.5872
Ba: 0.9994 0.6541 0.3632
Ba: 0.9994 0.8459 0.8632
In: 0.1900 0.6834 0.1250
In: 0.1900 0.8166 0.6250
In: 0.4948 0.6195 0.3386
In: 0.4948 0.8805 0.8386
In: 0.5052 0.1195 0.1614
In: 0.5052 0.3805 0.6614
In: 0.8100 0.1834 0.3750
In: 0.8100 0.3166 0.8750
F: 0.0036 0.0118 0.6093
F: 0.0036 0.4882 0.1093
F: 0.0302 0.6937 0.7063
F: 0.0302 0.8063 0.2063
F: 0.0398 0.6759 0.5333
F: 0.0398 0.8241 0.0333
F: 0.3021 0.0060 0.9005
F: 0.3021 0.4940 0.4005
F: 0.3120 0.1646 0.2420
F: 0.3120 0.3354 0.7420
F: 0.3151 0.1979 0.0670
F: 0.3151 0.3021 0.5670
F: 0.3217 0.5542 0.2288
F: 0.3217 0.9458 0.7288
F: 0.3398 0.6679 0.8509
F: 0.3398 0.8321 0.3509
F: 0.3513 0.5793 0.0408
F: 0.3513 0.9207 0.5408
F: 0.3923 0.6327 0.6454
F: 0.3923 0.8673 0.1454
F: 0.6077 0.1327 0.8546
F: 0.6077 0.3673 0.3546
F: 0.6487 0.0793 0.4592
F: 0.6487 0.4207 0.9592
F: 0.6602 0.1679 0.6491
F: 0.6602 0.3321 0.1491
F: 0.6783 0.0542 0.2712
F: 0.6783 0.4458 0.7712
F: 0.6849 0.6979 0.4330
F: 0.6849 0.8021 0.9330
F: 0.6880 0.6646 0.2580
F: 0.6880 0.8354 0.7580
F: 0.6979 0.5060 0.5995
F: 0.6979 0.9940 0.0995
F: 0.9602 0.1759 0.9667
F: 0.9602 0.3241 0.4667
F: 0.9698 0.1937 0.7937
F: 0.9698 0.3063 0.2937
F: 0.9964 0.5118 0.8907
F: 0.9964 0.9882 0.3907

Largest 10 diffraction maxima, low angle first, 10° ≤ 2θ ≤ 90°:
d/Å	2θ (°)	I (rel.)
3.960	22.45	96
3.824	23.26	100
3.325	26.82	28
3.274	27.23	79
3.158	28.26	40
3.079	29.00	39
3.013	29.65	32
2.190	41.22	29
2.135	42.33	46
2.046	44.28	33

- Number 2 is which compound?
  BaInF5